Calculated X-ray diffraction stick pattern
Compound: CaNdPa2N4
Radiation: Cu Kα (weighted mean of Kα1 and Kα2)
Structure: a cell relaxed with GGA-PBE

Atomic structure:
abc: 5.014 5.014 9.995
angles: 90.00 90.00 90.00
Space group I-4m2 (No. 119)
Asymmetric unit:
Ca: 0.000 0.000 0.000 [2 per cell]
Nd: 0.000 0.500 0.750 [2 per cell]
Pa: 0.000 0.000 0.500 [2 per cell]
Pa: 0.000 0.500 0.250 [2 per cell]
N: 0.000 0.000 0.269 [4 per cell]
N: 0.000 0.500 0.019 [4 per cell]

Top 10 peaks for 2θ = 10–80°, in order of falling intensity:
- 30.93 deg, rel. 100, hkl 1 1 2
- 51.62 deg, rel. 49, hkl 2 2 0
- 35.82 deg, rel. 48, hkl 2 0 0
- 19.81 deg, rel. 35, hkl 1 0 1
- 61.35 deg, rel. 31, hkl 3 1 2
- 35.94 deg, rel. 23, hkl 0 0 4
- 64.45 deg, rel. 17, hkl 2 2 4
- 61.50 deg, rel. 16, hkl 1 1 6
- 41.27 deg, rel. 12, hkl 2 1 1
- 49.00 deg, rel. 10, hkl 1 0 5

---

Calculated X-ray diffraction stick pattern
Compound: Ca2Nd3PuN6
Radiation: Cu Kα (weighted mean of Kα1 and Kα2)
Structure: a cell relaxed with GGA-PBE

Atomic structure:
abc: 6.189 10.719 6.147
angles: 90.00 109.54 90.00
Space group C2/m (No. 12)
Asymmetric unit:
Ca: 0.000 0.167 0.000 [4 per cell]
Nd: 0.000 0.000 0.500 [2 per cell]
Nd: 0.000 0.332 0.500 [4 per cell]
Pu: 0.000 0.500 0.000 [2 per cell]
N: 0.217 0.500 0.765 [4 per cell]
N: 0.231 0.349 0.240 [8 per cell]

Top 10 peaks for 2θ = 10–80°, in order of falling intensity:
- 30.67 deg, rel. 100, hkl 2 0 0
- 35.62 deg, rel. 98, hkl 1 3 1
- 51.13 deg, rel. 33, hkl 0 6 0
- 51.39 deg, rel. 33, hkl 2 0 2
- 30.87 deg, rel. 31, hkl 0 0 2
- 60.84 deg, rel. 25, hkl 4 0 -2
- 17.31 deg, rel. 21, hkl 1 1 0
- 60.94 deg, rel. 20, hkl 3 3 -3
- 63.86 deg, rel. 17, hkl 4 0 0
- 19.47 deg, rel. 16, hkl 1 1 -1

---

Calculated X-ray diffraction stick pattern
Compound: Ca5NiN4
Radiation: Cu Kα (weighted mean of Kα1 and Kα2)
Structure: a cell relaxed with GGA-PBE

Atomic structure:
abc: 7.071 8.880 6.250
angles: 90.00 90.00 90.00
Space group Pmmn (No. 59, origin choice 2)
Asymmetric unit:
Ca: 0.014 0.050 0.233 [8 per cell]
Ca: 0.250 0.250 0.752 [2 per cell]
Ni: 0.250 0.750 0.468 [2 per cell]
N: 0.004 0.750 0.498 [4 per cell]
N: 0.250 0.037 0.965 [4 per cell]

Top 10 peaks for 2θ = 10–80°, in order of falling intensity:
- 24.60 deg, rel. 100, hkl 0 2 1
- 32.37 deg, rel. 98, hkl 2 2 0
- 33.50 deg, rel. 86, hkl 0 3 1
- 21.45 deg, rel. 82, hkl 1 1 1
- 30.75 deg, rel. 72, hkl 2 1 1
- 43.71 deg, rel. 56, hkl 2 2 2
- 32.92 deg, rel. 53, hkl 1 1 2
- 35.12 deg, rel. 53, hkl 0 2 2
- 38.45 deg, rel. 52, hkl 2 0 2
- 60.16 deg, rel. 46, hkl 2 5 1

---

Calculated X-ray diffraction stick pattern
Compound: Ca3Ni3N5
Radiation: Cu Kα (weighted mean of Kα1 and Kα2)
Structure: a cell relaxed with GGA-PBE

Atomic structure:
abc: 5.604 6.790 8.288
angles: 108.07 106.47 94.60
Space group P-1 (No. 2)
Asymmetric unit:
Ca: 0.154 0.175 0.197 [2 per cell]
Ca: 0.168 0.373 0.877 [2 per cell]
Ca: 0.306 0.907 0.605 [2 per cell]
Ni: 0.196 0.444 0.562 [2 per cell]
Ni: 0.389 0.628 0.288 [2 per cell]
Ni: 0.406 0.821 0.972 [2 per cell]
N: 0.120 0.552 0.374 [2 per cell]
N: 0.241 0.733 0.106 [2 per cell]
N: 0.250 0.033 0.899 [2 per cell]
N: 0.327 0.193 0.506 [2 per cell]
N: 0.451 0.603 0.786 [2 per cell]

Top 10 peaks for 2θ = 10–80°, in order of falling intensity:
- 34.55 deg, rel. 100, hkl 1 0 -3
- 34.37 deg, rel. 89, hkl 0 2 1
- 33.19 deg, rel. 72, hkl 1 2 -2
- 34.28 deg, rel. 68, hkl 2 -1 0
- 44.68 deg, rel. 44, hkl 1 -3 2
- 42.11 deg, rel. 43, hkl 1 -1 3
- 13.96 deg, rel. 41, hkl 0 1 0
- 31.68 deg, rel. 35, hkl 1 -1 2
- 21.32 deg, rel. 30, hkl 0 1 1
- 16.79 deg, rel. 28, hkl 1 0 0

---

Calculated X-ray diffraction stick pattern
Compound: Ca4Pu3NiN8
Radiation: Cu Kα (weighted mean of Kα1 and Kα2)
Structure: a cell relaxed with GGA-PBE

Atomic structure:
abc: 11.790 6.795 6.865
angles: 90.00 124.82 90.00
Space group C2/m (No. 12)
Asymmetric unit:
Ca: 0.000 0.000 0.000 [2 per cell]
Ca: 0.000 0.500 0.000 [2 per cell]
Ca: 0.250 0.250 0.000 [4 per cell]
Pu: 0.000 0.000 0.500 [2 per cell]
Pu: 0.250 0.250 0.500 [4 per cell]
Ni: 0.000 0.500 0.500 [2 per cell]
N: 0.015 0.239 0.285 [8 per cell]
N: 0.241 0.000 0.722 [4 per cell]
N: 0.247 0.500 0.716 [4 per cell]

Top 10 peaks for 2θ = 10–80°, in order of falling intensity:
- 37.21 deg, rel. 100, hkl 4 0 0
- 32.19 deg, rel. 93, hkl 2 2 0
- 15.72 deg, rel. 93, hkl 0 0 1
- 30.82 deg, rel. 53, hkl 4 0 -1
- 53.36 deg, rel. 34, hkl 2 2 2
- 53.93 deg, rel. 33, hkl 0 4 0
- 31.76 deg, rel. 33, hkl 0 0 2
- 40.63 deg, rel. 24, hkl 2 2 1
- 15.93 deg, rel. 21, hkl 1 1 0
- 63.93 deg, rel. 19, hkl 6 2 0

---

Calculated X-ray diffraction stick pattern
Compound: CaTh2NiN4
Radiation: Cu Kα (weighted mean of Kα1 and Kα2)
Structure: a cell relaxed with GGA-PBE

Atomic structure:
abc: 3.640 12.381 12.010
angles: 90.00 90.00 90.00
Space group Cmcm (No. 63)
Asymmetric unit:
Ca: 0.000 0.155 0.250 [4 per cell]
Th: 0.000 0.369 0.051 [8 per cell]
Ni: 0.000 0.165 0.750 [4 per cell]
N: 0.000 0.000 0.000 [4 per cell]
N: 0.000 0.259 0.612 [8 per cell]
N: 0.000 0.380 0.250 [4 per cell]

Top 10 peaks for 2θ = 10–80°, in order of falling intensity:
- 36.14 deg, rel. 100, hkl 1 3 2
- 14.75 deg, rel. 86, hkl 0 0 2
- 26.52 deg, rel. 86, hkl 0 2 3
- 29.59 deg, rel. 83, hkl 1 1 2
- 16.11 deg, rel. 68, hkl 0 2 1
- 28.84 deg, rel. 67, hkl 0 4 0
- 40.27 deg, rel. 55, hkl 0 2 5
- 50.07 deg, rel. 52, hkl 2 0 0
- 34.07 deg, rel. 50, hkl 1 1 3
- 25.50 deg, rel. 47, hkl 1 1 0

---

Calculated X-ray diffraction stick pattern
Compound: Ca4Np3N8
Radiation: Cu Kα (weighted mean of Kα1 and Kα2)
Structure: a cell relaxed with GGA-PBE

Atomic structure:
abc: 6.8554 6.8554 17.8870
angles: 90.00 90.00 120.00
Space group R-3m (No. 166, hexagonal axes)
Asymmetric unit:
Ca: 0.0000 0.0000 0.0000 [3 per cell]
Ca: 0.0000 0.0000 0.1514 [6 per cell]
Ca: 0.0000 0.0000 0.5000 [3 per cell]
Np: 0.0000 0.5000 0.0000 [9 per cell]
N: 0.0000 0.0000 0.2777 [6 per cell]
N: 0.0264 0.5132 0.2669 [18 per cell]

Top 10 peaks for 2θ = 10–80°, in order of falling intensity:
- 14.86 deg, rel. 100, hkl 0 0 3
- 30.53 deg, rel. 69, hkl 0 2 1
- 36.33 deg, rel. 53, hkl 0 2 4
- 30.02 deg, rel. 52, hkl 0 0 6
- 31.76 deg, rel. 49, hkl 2 0 2
- 46.92 deg, rel. 29, hkl 0 2 7
- 39.45 deg, rel. 27, hkl 2 0 5
- 53.47 deg, rel. 26, hkl 2 2 0
- 15.73 deg, rel. 23, hkl 1 0 1
- 51.15 deg, rel. 23, hkl 2 0 8

---

Calculated X-ray diffraction stick pattern
Compound: Ca5NpN4
Radiation: Cu Kα (weighted mean of Kα1 and Kα2)
Structure: a cell relaxed with GGA-PBE

Atomic structure:
abc: 15.449 3.545 7.214
angles: 90.00 102.94 90.00
Space group C2/m (No. 12)
Asymmetric unit:
Ca: 0.000 0.000 0.000 [2 per cell]
Ca: 0.161 0.500 0.807 [4 per cell]
Ca: 0.163 0.500 0.351 [4 per cell]
Np: 0.000 0.000 0.500 [2 per cell]
N: 0.000 0.500 0.284 [4 per cell]
N: 0.145 0.000 0.568 [4 per cell]

Top 10 peaks for 2θ = 10–80°, in order of falling intensity:
- 12.59 deg, rel. 100, hkl 0 0 1
- 11.75 deg, rel. 93, hkl 2 0 0
- 35.51 deg, rel. 69, hkl 1 1 -2
- 30.88 deg, rel. 64, hkl 3 1 0
- 15.20 deg, rel. 44, hkl 2 0 -1
- 35.78 deg, rel. 33, hkl 6 0 0
- 51.51 deg, rel. 33, hkl 0 2 0
- 30.38 deg, rel. 33, hkl 2 0 2
- 30.67 deg, rel. 32, hkl 4 0 -2
- 29.38 deg, rel. 24, hkl 1 1 1

---

Calculated X-ray diffraction stick pattern
Compound: Ca2NpN2O2
Radiation: Cu Kα (weighted mean of Kα1 and Kα2)
Structure: a cell relaxed with GGA-PBE

Atomic structure:
abc: 4.201 4.201 12.187
angles: 90.00 90.00 90.00
Space group I4/mmm (No. 139)
Asymmetric unit:
Ca: 0.000 0.000 0.143 [4 per cell]
Np: 0.000 0.000 0.500 [2 per cell]
N: 0.000 0.500 0.000 [4 per cell]
O: 0.000 0.000 0.325 [4 per cell]

Top 10 peaks for 2θ = 10–80°, in order of falling intensity:
- 22.39 deg, rel. 100, hkl 1 0 1
- 30.62 deg, rel. 94, hkl 1 0 3
- 14.54 deg, rel. 87, hkl 0 0 2
- 30.09 deg, rel. 68, hkl 1 1 0
- 53.76 deg, rel. 40, hkl 2 1 3
- 42.90 deg, rel. 37, hkl 1 0 5
- 43.07 deg, rel. 34, hkl 2 0 0
- 49.07 deg, rel. 27, hkl 2 1 1
- 33.56 deg, rel. 27, hkl 1 1 2
- 62.41 deg, rel. 24, hkl 2 1 5

---

Calculated X-ray diffraction stick pattern
Compound: CaPu2NpN4
Radiation: Cu Kα (weighted mean of Kα1 and Kα2)
Structure: a cell relaxed with GGA-PBE

Atomic structure:
abc: 5.998 3.479 6.023
angles: 90.00 109.27 90.00
Space group P2/m (No. 10)
Asymmetric unit:
Ca: 0.000 0.000 0.000 [1 per cell]
Pu: 0.000 0.500 0.500 [1 per cell]
Pu: 0.500 0.000 0.500 [1 per cell]
Np: 0.500 0.500 0.000 [1 per cell]
N: 0.267 0.000 0.758 [2 per cell]
N: 0.280 0.500 0.257 [2 per cell]

Top 10 peaks for 2θ = 10–80°, in order of falling intensity:
- 31.51 deg, rel. 100, hkl 0 0 2
- 36.53 deg, rel. 61, hkl 1 1 1
- 52.63 deg, rel. 43, hkl 0 2 0
- 31.61 deg, rel. 33, hkl 2 0 0
- 36.67 deg, rel. 30, hkl 2 0 -2
- 15.62 deg, rel. 28, hkl 1 0 0
- 62.71 deg, rel. 26, hkl 3 1 1
- 52.82 deg, rel. 21, hkl 3 1 -1
- 62.59 deg, rel. 20, hkl 1 1 3
- 30.14 deg, rel. 14, hkl 1 1 0

---

Calculated X-ray diffraction stick pattern
Compound: Ca4NpTa3N8
Radiation: Cu Kα (weighted mean of Kα1 and Kα2)
Structure: a cell relaxed with GGA-PBE

Atomic structure:
abc: 6.5058 6.5058 16.7681
angles: 90.00 90.00 120.00
Space group R-3m (No. 166, hexagonal axes)
Asymmetric unit:
Ca: 0.0000 0.0000 0.0000 [3 per cell]
Ca: 0.0000 0.5000 0.0000 [9 per cell]
Np: 0.0000 0.0000 0.5000 [3 per cell]
Ta: 0.0000 0.5000 0.5000 [9 per cell]
N: 0.0000 0.0000 0.2373 [6 per cell]
N: 0.0109 0.5055 0.7627 [18 per cell]

Top 10 peaks for 2θ = 10–80°, in order of falling intensity:
- 15.86 deg, rel. 100, hkl 0 0 3
- 38.50 deg, rel. 96, hkl 0 2 4
- 33.56 deg, rel. 89, hkl 2 0 2
- 32.22 deg, rel. 50, hkl 0 2 1
- 32.03 deg, rel. 34, hkl 0 0 6
- 54.57 deg, rel. 33, hkl 2 0 8
- 56.59 deg, rel. 30, hkl 2 2 0
- 66.52 deg, rel. 27, hkl 2 2 6
- 41.88 deg, rel. 23, hkl 2 0 5
- 59.16 deg, rel. 21, hkl 2 2 3

---

Calculated X-ray diffraction stick pattern
Compound: Ca2TmNpN4
Radiation: Cu Kα (weighted mean of Kα1 and Kα2)
Structure: a cell relaxed with GGA-PBE

Atomic structure:
abc: 5.922 3.482 5.996
angles: 90.00 108.53 90.00
Space group P2/m (No. 10)
Asymmetric unit:
Ca: 0.000 0.000 0.000 [1 per cell]
Ca: 0.500 0.500 0.000 [1 per cell]
Tm: 0.000 0.500 0.500 [1 per cell]
Np: 0.500 0.000 0.500 [1 per cell]
N: 0.261 0.000 0.712 [2 per cell]
N: 0.266 0.500 0.280 [2 per cell]

Top 10 peaks for 2θ = 10–80°, in order of falling intensity:
- 15.59 deg, rel. 100, hkl 0 0 1
- 36.50 deg, rel. 70, hkl 1 1 1
- 31.66 deg, rel. 66, hkl 1 1 -1
- 30.20 deg, rel. 39, hkl 1 1 0
- 31.47 deg, rel. 34, hkl 0 0 2
- 37.18 deg, rel. 33, hkl 2 0 -2
- 31.87 deg, rel. 32, hkl 2 0 0
- 40.12 deg, rel. 25, hkl 2 0 1
- 52.58 deg, rel. 24, hkl 0 2 0
- 52.82 deg, rel. 23, hkl 1 1 -3